Calculated X-ray diffraction stick pattern of AcTe2Se for Cu Ka, from DFT lattice parameters and positions (PBE).
Intensities are scaled so that the largest is 100.

Unit cell a=4.410 b=27.578 c=4.410 alpha=90.00 beta=90.00 gamma=90.00
Atoms (fractional coordinates):
Ac 0.000 0.179 0.250
Ac 0.000 0.821 0.750
Ac 0.500 0.321 0.750
Ac 0.500 0.679 0.250
Te 0.000 0.078 0.750
Te 0.000 0.422 0.750
Te 0.000 0.578 0.250
Te 0.000 0.922 0.250
Te 0.500 0.078 0.250
Te 0.500 0.422 0.250
Te 0.500 0.578 0.750
Te 0.500 0.922 0.750
Se 0.000 0.295 0.250
Se 0.000 0.705 0.750
Se 0.500 0.205 0.750
Se 0.500 0.795 0.250

Largest 8 diffraction maxima, in order of rising 2θ, 2θ from 10° to 80°:
d 3.447, I = 60, (0 8 0)
d 3.099, I = 23, (1 1 1)
d 2.953, I = 100, (1 3 1)
d 2.715, I = 55, (1 5 1)
d 2.445, I = 51, (1 7 1)
d 2.205, I = 53, (2 0 0)
d 1.857, I = 40, (2 8 0)
d 1.379, I = 25, (0 20 0)